Entry 1:
The following is a simulated powder XRD pattern of La7Dy16Er6. It was derived from DFT lattice parameters and positions (GGA-PBE), using λ = 1.5418 Å (Cu Kα).
No peak broadening, texture or thermal motion is included.

Structure:
Lattice parameters (Å, degrees): 11.2898 11.2898 11.2898 60.00 60.00 60.00
Fractional coordinates of all 29 atoms:
La  0.0000  0.0000  0.0000
La  0.0000  0.0000  0.5000
La  0.0000  0.5000  0.0000
La  0.0000  0.5000  0.5000
La  0.5000  0.0000  0.0000
La  0.5000  0.0000  0.5000
La  0.5000  0.5000  0.0000
Dy  0.0506  0.6498  0.6498
Dy  0.1302  0.1302  0.1302
Dy  0.1302  0.1302  0.6094
Dy  0.1302  0.6094  0.1302
Dy  0.3502  0.3502  0.3502
Dy  0.3502  0.3502  0.9494
Dy  0.3502  0.9494  0.3502
Dy  0.3906  0.8698  0.8698
Dy  0.6094  0.1302  0.1302
Dy  0.6498  0.0506  0.6498
Dy  0.6498  0.6498  0.0506
Dy  0.6498  0.6498  0.6498
Dy  0.8698  0.3906  0.8698
Dy  0.8698  0.8698  0.3906
Dy  0.8698  0.8698  0.8698
Dy  0.9494  0.3502  0.3502
Er  0.2515  0.2515  0.7485
Er  0.2515  0.7485  0.2515
Er  0.2515  0.7485  0.7485
Er  0.7485  0.2515  0.2515
Er  0.7485  0.2515  0.7485
Er  0.7485  0.7485  0.2515

Most intense lines, 2θ from 15° to 90°, by intensity:
2θ/deg, I_rel
31.70, 100
56.47, 28
45.45, 15
75.29, 8
24.94, 8
66.22, 8
33.68, 6
27.37, 6
33.20, 6
35.56, 6

=====

Entry 2:
The following is a simulated powder XRD pattern of Bi4IrPb2. It was derived from DFT lattice parameters and positions (GGA-PBE), using λ = 1.5418 Å (Cu Kα).
No peak broadening, texture or thermal motion is included.

Structure:
Lattice parameters (Å, degrees): 6.3327 4.1065 9.1291 90.00 108.85 90.00
Fractional coordinates of all 7 atoms:
Bi  0.1969  0.0000  0.2109
Bi  0.2654  0.5000  0.5813
Bi  0.7346  0.5000  0.4187
Bi  0.8031  0.0000  0.7891
Ir  0.5000  0.0000  0.5000
Pb  0.2280  0.5000  0.9226
Pb  0.7720  0.5000  0.0774

Most intense lines, 2θ from 15° to 90°, by intensity:
2θ/deg, I_rel
26.45, 100
29.79, 85
37.55, 70
30.03, 70
37.12, 42
54.13, 33
38.82, 33
44.11, 32
55.12, 32
46.18, 25

=====

Entry 3:
The following is a simulated powder XRD pattern of TlAsSe2. It was derived from DFT lattice parameters and positions (GGA-PBE), using λ = 1.5418 Å (Cu Kα).
No peak broadening, texture or thermal motion is included.

Structure:
Lattice parameters (Å, degrees): 9.0837 3.9703 12.6789 90.00 105.33 90.00
Fractional coordinates of all 16 atoms:
Tl  0.0652  0.0000  0.3590
Tl  0.3322  0.4919  0.8569
Tl  0.6678  0.9919  0.1431
Tl  0.9348  0.5000  0.6410
As  0.1677  0.9912  0.0915
As  0.4080  0.5045  0.5950
As  0.5920  0.0045  0.4050
As  0.8323  0.4912  0.9085
Se  0.0650  0.9926  0.8939
Se  0.2157  0.9948  0.6092
Se  0.3636  0.4923  0.1140
Se  0.3643  0.4959  0.3969
Se  0.6364  0.9923  0.8860
Se  0.6357  0.9959  0.6031
Se  0.7843  0.4948  0.3908
Se  0.9350  0.4926  0.1061

Most intense lines, 2θ from 15° to 90°, by intensity:
2θ/deg, I_rel
30.39, 100
29.21, 65
31.30, 48
38.52, 39
45.70, 25
46.49, 24
55.17, 22
39.88, 20
27.25, 19
36.16, 19

=====

Entry 4:
The following is a simulated powder XRD pattern of NaSmGa2Au2. It was derived from DFT lattice parameters and positions (GGA-PBE), using λ = 1.5418 Å (Cu Kα).
No peak broadening, texture or thermal motion is included.

Structure:
Lattice parameters (Å, degrees): 4.5882 4.5882 6.8865 90.00 90.00 120.00
Fractional coordinates of all 6 atoms:
Na  0.0000  0.0000  0.0000
Sm  0.0000  0.0000  0.5000
Ga  0.3333  0.6667  0.2278
Ga  0.6667  0.3333  0.7722
Au  0.3333  0.6667  0.7571
Au  0.6667  0.3333  0.2429

Most intense lines, 2θ from 15° to 90°, by intensity:
2θ/deg, I_rel
34.47, 100
39.27, 96
25.88, 94
68.10, 61
47.63, 42
53.22, 41
71.19, 16
45.64, 14
84.45, 13
63.39, 13

=====

Entry 5:
The following is a simulated powder XRD pattern of Th7Se5S. It was derived from DFT lattice parameters and positions (GGA-PBE), using λ = 1.5418 Å (Cu Kα).
No peak broadening, texture or thermal motion is included.

Structure:
Lattice parameters (Å, degrees): 7.2056 7.2056 25.6537 92.13 92.13 31.64
Fractional coordinates of all 26 atoms:
Th  0.0000  0.0000  0.0000
Th  0.0032  0.0032  0.5750
Th  0.1293  0.1293  0.2833
Th  0.1595  0.1595  0.7914
Th  0.2844  0.2844  0.4999
Th  0.2896  0.2896  0.0749
Th  0.4056  0.4056  0.8524
Th  0.4392  0.4392  0.7174
Th  0.5608  0.5608  0.4216
Th  0.5832  0.5832  0.1495
Th  0.7062  0.7062  0.9253
Th  0.7270  0.7270  0.6533
Th  0.8489  0.8489  0.3574
Th  0.8837  0.8837  0.2224
Se  0.0545  0.0545  0.8893
Se  0.0814  0.0814  0.6831
Se  0.2065  0.2065  0.3918
Se  0.2349  0.2349  0.1856
Se  0.3525  0.3525  0.9640
Se  0.3596  0.3596  0.6092
Se  0.6438  0.6438  0.5375
Se  0.6448  0.6448  0.0374
Se  0.9281  0.9281  0.4657
Se  0.9370  0.9370  0.1109
S  0.4768  0.4768  0.3103
S  0.8116  0.8116  0.7645

Most intense lines, 2θ from 15° to 90°, by intensity:
2θ/deg, I_rel
30.16, 100
30.86, 92
30.51, 89
28.00, 74
46.22, 72
42.37, 69
27.10, 69
31.43, 68
31.20, 68
30.28, 66

=====

Entry 6:
The following is a simulated powder XRD pattern of Ac4AlZn2. It was derived from DFT lattice parameters and positions (GGA-PBE), using λ = 1.5418 Å (Cu Kα).
No peak broadening, texture or thermal motion is included.

Structure:
Lattice parameters (Å, degrees): 9.4153 9.4153 9.4153 34.12 34.12 34.12
Fractional coordinates of all 7 atoms:
Ac  0.1211  0.1211  0.1211
Ac  0.3730  0.3730  0.3730
Ac  0.6270  0.6270  0.6270
Ac  0.8789  0.8789  0.8789
Al  0.5000  0.5000  0.5000
Zn  0.2480  0.2480  0.2480
Zn  0.7520  0.7520  0.7520

Most intense lines, 2θ from 15° to 90°, by intensity:
2θ/deg, I_rel
22.90, 100
32.41, 94
32.82, 89
58.07, 36
46.79, 34
40.06, 24
52.44, 23
52.99, 21
57.81, 19
58.85, 16

=====

Entry 7:
The following is a simulated powder XRD pattern of NbAlGe. It was derived from DFT lattice parameters and positions (GGA-PBE), using λ = 1.5418 Å (Cu Kα).
No peak broadening, texture or thermal motion is included.

Structure:
Lattice parameters (Å, degrees): 6.2370 5.0019 5.1856 75.48 50.93 53.60
Fractional coordinates of all 6 atoms:
Nb  0.0000  0.0000  0.0000
Nb  0.2500  0.2500  0.2500
Al  0.3374  0.3374  0.6626
Al  0.5874  0.5874  0.9126
Ge  0.6678  0.6678  0.3322
Ge  0.9178  0.9178  0.5822

Most intense lines, 2θ from 15° to 90°, by intensity:
2θ/deg, I_rel
37.32, 100
40.63, 79
47.26, 50
39.94, 41
22.53, 36
63.55, 20
64.54, 19
28.66, 19
68.66, 16
89.64, 16

=====

Entry 8:
The following is a simulated powder XRD pattern of K3NaP4H4O14. It was derived from DFT lattice parameters and positions (GGA-PBE), using λ = 1.5418 Å (Cu Kα).
No peak broadening, texture or thermal motion is included.

Structure:
Lattice parameters (Å, degrees): 9.6039 9.6039 11.4485 98.74 98.74 45.18
Fractional coordinates of all 52 atoms:
K  0.1030  0.8970  0.7500
K  0.1611  0.5631  0.0003
K  0.4369  0.8389  0.4997
K  0.5631  0.1611  0.5003
K  0.8389  0.4369  0.9997
K  0.8970  0.1030  0.2500
Na  0.0000  0.5000  0.5000
Na  0.5000  0.0000  0.0000
P  0.1438  0.2477  0.7634
P  0.2129  0.6341  0.3831
P  0.2477  0.1438  0.2634
P  0.3659  0.7871  0.1169
P  0.6341  0.2129  0.8831
P  0.7523  0.8562  0.7366
P  0.7871  0.3659  0.6169
P  0.8562  0.7523  0.2366
H  0.0843  0.5078  0.7348
H  0.4244  0.4506  0.2458
H  0.4506  0.4244  0.7458
H  0.4922  0.9157  0.7652
H  0.5078  0.0843  0.2348
H  0.5494  0.5756  0.2542
H  0.5756  0.5494  0.7542
H  0.9157  0.4922  0.2652
O  0.0373  0.2807  0.2095
O  0.0815  0.6522  0.2641
O  0.1553  0.3703  0.6931
O  0.1676  0.2758  0.8952
O  0.1770  0.8149  0.3997
O  0.1851  0.8230  0.1003
O  0.1995  0.5628  0.4847
O  0.2758  0.1676  0.3952
O  0.2807  0.0373  0.7095
O  0.3478  0.9185  0.2359
O  0.3703  0.1553  0.1931
O  0.4309  0.4476  0.3314
O  0.4372  0.8005  0.0153
O  0.4476  0.4309  0.8314
O  0.5524  0.5691  0.1686
O  0.5628  0.1995  0.9847
O  0.5691  0.5524  0.6686
O  0.6297  0.8447  0.8069
O  0.6522  0.0815  0.7641
O  0.7193  0.9627  0.2905
O  0.7242  0.8324  0.6048
O  0.8005  0.4372  0.5153
O  0.8149  0.1770  0.8997
O  0.8230  0.1851  0.6003
O  0.8324  0.7242  0.1048
O  0.8447  0.6297  0.3069
O  0.9185  0.3478  0.7359
O  0.9627  0.7193  0.7905

Most intense lines, 2θ from 15° to 90°, by intensity:
2θ/deg, I_rel
28.20, 100
28.91, 50
27.79, 49
19.79, 45
31.72, 41
15.66, 36
26.32, 33
28.70, 33
17.23, 26
27.89, 24

=====

Entry 9:
The following is a simulated powder XRD pattern of PrReBi2O8. It was derived from DFT lattice parameters and positions (GGA-PBE), using λ = 1.5418 Å (Cu Kα).
No peak broadening, texture or thermal motion is included.

Structure:
Lattice parameters (Å, degrees): 5.2750 5.2750 6.8736 90.00 90.00 91.45
Fractional coordinates of all 12 atoms:
Pr  0.0000  0.0000  0.0000
Re  0.0000  0.0000  0.5000
Bi  0.5000  0.5000  0.2532
Bi  0.5000  0.5000  0.7468
O  0.1793  0.1793  0.2936
O  0.1793  0.1793  0.7064
O  0.2460  0.7540  0.5000
O  0.3158  0.6842  0.0000
O  0.6842  0.3158  0.0000
O  0.7540  0.2460  0.5000
O  0.8207  0.8207  0.2936
O  0.8207  0.8207  0.7064

Most intense lines, 2θ from 15° to 90°, by intensity:
2θ/deg, I_rel
31.06, 100
23.56, 57
24.17, 56
47.05, 40
46.37, 38
34.00, 33
59.03, 31
80.59, 18
64.75, 12
54.62, 11

=====

Entry 10:
The following is a simulated powder XRD pattern of ZnCo2Pb. It was derived from DFT lattice parameters and positions (GGA-PBE), using λ = 1.5418 Å (Cu Kα).
No peak broadening, texture or thermal motion is included.

Structure:
Lattice parameters (Å, degrees): 3.0438 3.0438 7.2714 90.00 90.00 90.00
Fractional coordinates of all 4 atoms:
Zn  0.0000  0.0000  0.0000
Co  0.0000  0.0000  0.3505
Co  0.5000  0.5000  0.1942
Pb  0.5000  0.5000  0.6246

Most intense lines, 2θ from 15° to 90°, by intensity:
2θ/deg, I_rel
38.58, 100
31.87, 71
41.98, 62
74.42, 28
24.48, 27
57.24, 23
47.98, 21
60.87, 20
37.09, 20
29.34, 18

=====

Entry 11:
The following is a simulated powder XRD pattern of Te2Mo2WSe4. It was derived from DFT lattice parameters and positions (GGA-PBE), using λ = 1.5418 Å (Cu Kα).
No peak broadening, texture or thermal motion is included.

Structure:
Lattice parameters (Å, degrees): 3.3993 3.3993 22.2692 90.00 90.00 120.00
Fractional coordinates of all 9 atoms:
Te  0.0000  0.0000  0.0000
Te  0.0000  0.0000  0.1691
Mo  0.0000  0.0000  0.4120
Mo  0.3333  0.6667  0.7271
W  0.3333  0.6667  0.0845
Se  0.0000  0.0000  0.6531
Se  0.0000  0.0000  0.8010
Se  0.3333  0.6667  0.3380
Se  0.3333  0.6667  0.4860

Most intense lines, 2θ from 15° to 90°, by intensity:
2θ/deg, I_rel
36.59, 100
44.81, 63
30.36, 53
53.95, 41
32.72, 26
39.05, 25
34.46, 23
72.65, 20
66.95, 17
41.81, 15

=====

Entry 12:
The following is a simulated powder XRD pattern of Pa2SnSb2. It was derived from DFT lattice parameters and positions (GGA-PBE), using λ = 1.5418 Å (Cu Kα).
No peak broadening, texture or thermal motion is included.

Structure:
Lattice parameters (Å, degrees): 4.9828 4.9828 14.2159 90.00 90.00 120.00
Fractional coordinates of all 10 atoms:
Pa  0.3333  0.6667  0.1505
Pa  0.3333  0.6667  0.3495
Pa  0.6667  0.3333  0.6505
Pa  0.6667  0.3333  0.8495
Sn  0.0000  0.0000  0.2500
Sn  0.0000  0.0000  0.7500
Sb  0.3333  0.6667  0.5684
Sb  0.3333  0.6667  0.9316
Sb  0.6667  0.3333  0.0684
Sb  0.6667  0.3333  0.4316

Most intense lines, 2θ from 15° to 90°, by intensity:
2θ/deg, I_rel
36.05, 100
37.90, 84
21.52, 57
32.64, 40
66.04, 34
53.30, 32
20.58, 31
62.65, 25
64.82, 18
85.61, 16

=====

What did the third record say?
The following is a simulated powder XRD pattern of TlAsSe2. It was derived from DFT lattice parameters and positions (GGA-PBE), using λ = 1.5418 Å (Cu Kα).
No peak broadening, texture or thermal motion is included.

Structure:
Lattice parameters (Å, degrees): 9.0837 3.9703 12.6789 90.00 105.33 90.00
Fractional coordinates of all 16 atoms:
Tl  0.0652  0.0000  0.3590
Tl  0.3322  0.4919  0.8569
Tl  0.6678  0.9919  0.1431
Tl  0.9348  0.5000  0.6410
As  0.1677  0.9912  0.0915
As  0.4080  0.5045  0.5950
As  0.5920  0.0045  0.4050
As  0.8323  0.4912  0.9085
Se  0.0650  0.9926  0.8939
Se  0.2157  0.9948  0.6092
Se  0.3636  0.4923  0.1140
Se  0.3643  0.4959  0.3969
Se  0.6364  0.9923  0.8860
Se  0.6357  0.9959  0.6031
Se  0.7843  0.4948  0.3908
Se  0.9350  0.4926  0.1061

Most intense lines, 2θ from 15° to 90°, by intensity:
2θ/deg, I_rel
30.39, 100
29.21, 65
31.30, 48
38.52, 39
45.70, 25
46.49, 24
55.17, 22
39.88, 20
27.25, 19
36.16, 19

=====

Repeat the sixth record exactly.
The following is a simulated powder XRD pattern of Ac4AlZn2. It was derived from DFT lattice parameters and positions (GGA-PBE), using λ = 1.5418 Å (Cu Kα).
No peak broadening, texture or thermal motion is included.

Structure:
Lattice parameters (Å, degrees): 9.4153 9.4153 9.4153 34.12 34.12 34.12
Fractional coordinates of all 7 atoms:
Ac  0.1211  0.1211  0.1211
Ac  0.3730  0.3730  0.3730
Ac  0.6270  0.6270  0.6270
Ac  0.8789  0.8789  0.8789
Al  0.5000  0.5000  0.5000
Zn  0.2480  0.2480  0.2480
Zn  0.7520  0.7520  0.7520

Most intense lines, 2θ from 15° to 90°, by intensity:
2θ/deg, I_rel
22.90, 100
32.41, 94
32.82, 89
58.07, 36
46.79, 34
40.06, 24
52.44, 23
52.99, 21
57.81, 19
58.85, 16